The following is a simulated powder diffractogram of PmNdMg2. It was derived from the PBE geometry in the Materials Project, using Cu Ka.
Intensities are scaled so that the largest is 100.

```
PmNdMg2
1.0
0.000 3.878 3.878
3.878 0.000 3.878
3.878 3.878 0.000
Pm Nd Mg
1 1 2
Cartesian
0.000 0.000 0.000 Pm
3.878 3.878 3.878 Nd
1.939 1.939 1.939 Mg
5.818 5.818 5.818 Mg
```

The 8 most intense peaks (2θ from 10° to 90°), low angle first:
2theta	I/Imax
22.93	59
32.65	100
40.28	18
46.85	18
52.78	25
58.27	38
73.21	12
77.89	16

The following is a simulated powder diffractogram of Nd4MgPt. It was derived from the PBE geometry in the Materials Project, using Cu Ka.
Intensities are scaled so that the largest is 100.

```
Nd4MgPt
1.0
0.000 7.144 7.144
7.144 0.000 7.144
7.144 7.144 0.000
Nd Mg Pt
16 4 4
Cartesian
7.144 7.144 2.631 Nd
7.144 2.631 7.144 Nd
11.657 7.144 7.144 Nd
5.753 5.753 5.753 Nd
8.534 8.534 5.753 Nd
8.534 5.753 8.534 Nd
10.716 10.716 7.999 Nd
10.716 7.999 10.716 Nd
13.432 10.716 10.716 Nd
5.753 8.534 8.534 Nd
2.631 7.144 7.144 Nd
7.144 11.657 7.144 Nd
7.144 7.144 11.657 Nd
7.999 10.716 10.716 Nd
10.716 13.432 10.716 Nd
10.716 10.716 13.432 Nd
2.436 2.436 2.436 Mg
4.708 4.708 2.436 Mg
4.708 2.436 4.708 Mg
2.436 4.708 4.708 Mg
8.683 5.604 5.604 Pt
5.604 8.683 5.604 Pt
5.604 5.604 8.683 Pt
8.683 8.683 8.683 Pt
```

The 8 most intense peaks (2θ from 10° to 90°), low angle first:
2theta	I/Imax
10.73	37
27.21	26
30.66	40
32.57	100
35.54	39
54.50	41
67.86	17
83.40	16

The following is a simulated powder diffractogram of NdMgPt. It was derived from the PBE geometry in the Materials Project, using Cu Ka.
Intensities are scaled so that the largest is 100.

```
NdMgPt
1.0
7.577 0.000 0.000
-3.788 6.562 0.000
0.000 0.000 4.145
Nd Mg Pt
3 3 3
Cartesian
-1.558 2.699 0.000 Nd
3.116 0.000 0.000 Nd
2.230 3.863 0.000 Nd
-2.876 4.981 2.072 Mg
0.913 1.581 2.072 Mg
5.752 0.000 2.072 Mg
0.000 0.000 0.000 Pt
0.000 4.375 2.072 Pt
3.788 2.187 2.072 Pt
```

The 8 most intense peaks (2θ from 10° to 90°), low angle first:
2theta	I/Imax
23.48	56
25.42	31
32.01	63
34.88	100
41.28	40
42.48	39
61.65	26
66.03	27